Simulated powder XRD pattern of ZnSeO4 for Cu Kα (weighted mean of Kα1 and Kα2), from a structure optimized by DFT (PBE).
Intensities are scaled so that the largest is 100.

Cell and atoms:
a b c (Å): 4.996 4.996 6.597
angles (deg): 90.00 90.00 112.15
Sites, in units of the cell vectors:
Zn 0.000 0.000 0.000
Zn 0.000 0.000 0.500
Se 0.351 0.649 0.750
Se 0.649 0.351 0.250
O 0.228 0.281 0.750
O 0.245 0.755 0.537
O 0.245 0.755 0.963
O 0.281 0.228 0.250
O 0.719 0.772 0.750
O 0.755 0.245 0.037
O 0.755 0.245 0.463
O 0.772 0.719 0.250

Most intense lines, 10 to 80 degrees two-theta, most intense first:
| 2theta | d (Å) | I (rel.) |
| --- | --- | --- |
| 33.36 | 2.686 | 100 |
| 23.48 | 3.788 | 90 |
| 36.28 | 2.476 | 56 |
| 25.37 | 3.510 | 53 |
| 32.10 | 2.788 | 44 |
| 62.53 | 1.485 | 35 |



Simulated powder XRD pattern of Te6MoW3Se2 for Cu Kα (weighted mean of Kα1 and Kα2), from a structure optimized by DFT (PBE).
Intensities are scaled so that the largest is 100.

Cell and atoms:
a b c (Å): 3.503 3.503 39.654
angles (deg): 90.00 90.00 120.00
Sites, in units of the cell vectors:
Te 0.000 0.000 0.000
Te 0.000 0.000 0.093
Te 0.000 0.000 0.376
Te 0.000 0.000 0.469
Te 0.667 0.333 0.564
Te 0.667 0.333 0.656
Mo 0.000 0.000 0.234
W 0.000 0.000 0.610
W 0.667 0.333 0.046
W 0.667 0.333 0.422
Se 0.667 0.333 0.193
Se 0.667 0.333 0.275

Most intense lines, 10 to 80 degrees two-theta, most intense first:
| 2theta | d (Å) | I (rel.) |
| --- | --- | --- |
| 11.16 | 7.931 | 100 |
| 34.67 | 2.587 | 95 |
| 42.01 | 2.151 | 60 |
| 29.46 | 3.032 | 44 |
| 52.24 | 1.751 | 35 |
| 43.72 | 2.070 | 18 |



Simulated powder XRD pattern of Re3F for Cu Kα (weighted mean of Kα1 and Kα2), from a structure optimized by DFT (PBE).
Intensities are scaled so that the largest is 100.

Cell and atoms:
a b c (Å): 4.319 4.319 4.319
angles (deg): 60.00 60.00 60.00
Sites, in units of the cell vectors:
Re 0.000 0.000 0.000
Re 0.250 0.250 0.250
Re 0.750 0.750 0.750
F 0.500 0.500 0.500

Most intense lines, 10 to 80 degrees two-theta, most intense first:
| 2theta | d (Å) | I (rel.) |
| --- | --- | --- |
| 41.83 | 2.159 | 100 |
| 76.40 | 1.247 | 34 |
| 25.26 | 3.526 | 20 |
| 60.65 | 1.527 | 17 |
| 29.25 | 3.054 | 11 |
| 49.50 | 1.841 | 10 |



Simulated powder XRD pattern of BPt for Cu Kα (weighted mean of Kα1 and Kα2), from a structure optimized by DFT (PBE).
Intensities are scaled so that the largest is 100.

Cell and atoms:
a b c (Å): 3.229 3.229 5.261
angles (deg): 90.00 90.00 120.00
Sites, in units of the cell vectors:
B 0.333 0.667 0.250
B 0.667 0.333 0.750
Pt 0.000 0.000 0.000
Pt 0.000 0.000 0.500

Most intense lines, 10 to 80 degrees two-theta, most intense first:
| 2theta | d (Å) | I (rel.) |
| --- | --- | --- |
| 32.00 | 2.797 | 100 |
| 47.45 | 1.916 | 74 |
| 34.08 | 2.631 | 27 |
| 68.14 | 1.376 | 23 |
| 57.04 | 1.615 | 22 |
| 77.27 | 1.235 | 18 |



Simulated powder XRD pattern of Hf4NiP for Cu Kα (weighted mean of Kα1 and Kα2), from a structure optimized by DFT (PBE).
Intensities are scaled so that the largest is 100.

Cell and atoms:
a b c (Å): 6.425 6.425 5.240
angles (deg): 90.00 90.00 90.00
Sites, in units of the cell vectors:
Hf 0.158 0.338 0.000
Hf 0.158 0.662 0.500
Hf 0.338 0.158 0.500
Hf 0.338 0.842 0.000
Hf 0.662 0.158 0.000
Hf 0.662 0.842 0.500
Hf 0.842 0.338 0.500
Hf 0.842 0.662 0.000
Ni 0.000 0.000 0.250
Ni 0.000 0.000 0.750
P 0.500 0.500 0.250
P 0.500 0.500 0.750

Most intense lines, 10 to 80 degrees two-theta, most intense first:
| 2theta | d (Å) | I (rel.) |
| --- | --- | --- |
| 35.63 | 2.520 | 100 |
| 62.17 | 1.493 | 35 |
| 44.61 | 2.031 | 35 |
| 34.22 | 2.620 | 18 |
| 72.04 | 1.311 | 17 |
| 39.70 | 2.270 | 15 |



Simulated powder XRD pattern of UNF5 for Cu Kα (weighted mean of Kα1 and Kα2), from a structure optimized by DFT (PBE).
Intensities are scaled so that the largest is 100.

Cell and atoms:
a b c (Å): 8.162 7.143 8.802
angles (deg): 90.00 116.99 90.00
Sites, in units of the cell vectors:
U 0.093 0.113 0.340
U 0.093 0.387 0.840
U 0.907 0.613 0.160
U 0.907 0.887 0.660
N 0.455 0.574 0.668
N 0.455 0.926 0.168
N 0.545 0.074 0.832
N 0.545 0.426 0.332
F 0.115 0.189 0.120
F 0.115 0.311 0.620
F 0.145 0.030 0.839
F 0.145 0.470 0.339
F 0.156 0.558 0.058
F 0.156 0.942 0.558
F 0.165 0.659 0.777
F 0.165 0.841 0.277
F 0.362 0.171 0.469
F 0.362 0.329 0.969
F 0.638 0.671 0.031
F 0.638 0.829 0.531
F 0.835 0.159 0.723
F 0.835 0.341 0.223
F 0.844 0.058 0.442
F 0.844 0.442 0.942
F 0.855 0.530 0.661
F 0.855 0.970 0.161
F 0.885 0.689 0.380
F 0.885 0.811 0.880

Most intense lines, 10 to 80 degrees two-theta, most intense first:
| 2theta | d (Å) | I (rel.) |
| --- | --- | --- |
| 12.17 | 7.273 | 100 |
| 27.88 | 3.200 | 33 |
| 27.47 | 3.247 | 31 |
| 20.27 | 4.381 | 29 |
| 23.65 | 3.762 | 24 |
| 24.70 | 3.604 | 22 |



Simulated powder XRD pattern of RbReO2 for Cu Kα (weighted mean of Kα1 and Kα2), from a structure optimized by DFT (PBE).
Intensities are scaled so that the largest is 100.

Cell and atoms:
a b c (Å): 8.110 8.110 8.110
angles (deg): 132.14 132.14 70.01
Sites, in units of the cell vectors:
Rb 0.000 0.000 0.000
Rb 0.000 0.000 0.500
Rb 0.000 0.500 0.000
Rb 0.500 0.000 0.500
Re 0.000 0.500 0.500
Re 0.500 0.000 0.000
Re 0.500 0.500 0.000
Re 0.500 0.500 0.500
O 0.233 0.307 0.573
O 0.233 0.660 0.927
O 0.307 0.233 0.073
O 0.340 0.767 0.573
O 0.660 0.233 0.427
O 0.693 0.767 0.927
O 0.767 0.340 0.073
O 0.767 0.693 0.427

Most intense lines, 10 to 80 degrees two-theta, most intense first:
| 2theta | d (Å) | I (rel.) |
| --- | --- | --- |
| 30.32 | 2.948 | 100 |
| 26.84 | 3.321 | 53 |
| 47.74 | 1.905 | 40 |
| 38.71 | 2.326 | 37 |
| 64.93 | 1.436 | 28 |
| 49.63 | 1.837 | 27 |



Simulated powder XRD pattern of Ta4Te16PtI8 for Cu Kα (weighted mean of Kα1 and Kα2), from a structure optimized by DFT (PBE).
Intensities are scaled so that the largest is 100.

Cell and atoms:
a b c (Å): 6.716 9.735 17.239
angles (deg): 73.83 79.57 81.01
Sites, in units of the cell vectors:
Ta 0.014 0.386 0.302
Ta 0.486 0.604 0.695
Ta 0.514 0.396 0.305
Ta 0.986 0.614 0.698
Te 0.182 0.811 0.745
Te 0.183 0.516 0.414
Te 0.201 0.509 0.835
Te 0.246 0.633 0.232
Te 0.280 0.723 0.557
Te 0.290 0.147 0.362
Te 0.300 0.390 0.657
Te 0.325 0.279 0.187
Te 0.675 0.721 0.813
Te 0.700 0.610 0.343
Te 0.710 0.853 0.638
Te 0.720 0.277 0.443
Te 0.754 0.367 0.768
Te 0.799 0.491 0.165
Te 0.817 0.484 0.586
Te 0.818 0.189 0.255
Pt 0.500 0.500 0.500
I 0.146 0.208 0.057
I 0.199 0.080 0.560
I 0.271 0.169 0.831
I 0.290 0.670 0.054
I 0.710 0.330 0.946
I 0.729 0.831 0.169
I 0.801 0.920 0.440
I 0.854 0.792 0.943

Most intense lines, 10 to 80 degrees two-theta, most intense first:
| 2theta | d (Å) | I (rel.) |
| --- | --- | --- |
| 12.10 | 7.314 | 100 |
| 12.43 | 7.121 | 94 |
| 32.96 | 2.718 | 82 |
| 30.32 | 2.948 | 75 |
| 35.82 | 2.507 | 60 |
| 33.66 | 2.663 | 55 |



Simulated powder XRD pattern of Tl2Pt3 for Cu Kα (weighted mean of Kα1 and Kα2), from a structure optimized by DFT (PBE).
Intensities are scaled so that the largest is 100.

Cell and atoms:
a b c (Å): 5.735 5.735 14.259
angles (deg): 90.00 90.00 120.00
Sites, in units of the cell vectors:
Tl 0.000 0.000 0.250
Tl 0.000 0.000 0.750
Tl 0.333 0.667 0.089
Tl 0.333 0.667 0.411
Tl 0.333 0.667 0.750
Tl 0.667 0.333 0.250
Tl 0.667 0.333 0.589
Tl 0.667 0.333 0.911
Pt 0.165 0.331 0.587
Pt 0.165 0.331 0.913
Pt 0.165 0.835 0.587
Pt 0.165 0.835 0.913
Pt 0.331 0.165 0.087
Pt 0.331 0.165 0.413
Pt 0.669 0.835 0.587
Pt 0.669 0.835 0.913
Pt 0.835 0.165 0.087
Pt 0.835 0.165 0.413
Pt 0.835 0.669 0.087
Pt 0.835 0.669 0.413

Most intense lines, 10 to 80 degrees two-theta, most intense first:
| 2theta | d (Å) | I (rel.) |
| --- | --- | --- |
| 41.00 | 2.201 | 100 |
| 37.86 | 2.377 | 34 |
| 77.80 | 1.228 | 26 |
| 65.05 | 1.434 | 22 |
| 70.50 | 1.336 | 20 |
| 36.73 | 2.447 | 17 |